Sb8RuRh2: simulated X-ray powder pattern (CuKα), based on a structure optimized by DFT (GGA-PBE).
Lines closer than 0.1° are merged.

a = 5.1867 Å, b = 7.7721 Å, c = 7.7737 Å
α = 69.80°, β = 88.90°, γ = 88.87°
Space group P-1 (No. 2)
Unique sites:
Sb: 0.1960 0.2930 0.3716 (multiplicity 2)
Sb: 0.1964 0.8711 0.7929 (multiplicity 2)
Sb: 0.2085 0.8328 0.3328 (multiplicity 2)
Sb: 0.2552 0.4156 0.9137 (multiplicity 2)
Ru: 0.5000 0.0000 0.5000 (multiplicity 1)
Rh: 0.2537 0.6298 0.1299 (multiplicity 2)

Principal peaks in the range 2θ from 10° to 90°, by intensity:
2θ (°), I (rel.)
30.15, 100
46.99, 66
13.90, 61
34.60, 56
40.57, 44
40.34, 37
28.00, 36
36.66, 34